[1]
Starting from a DFT-relaxed cell (PBE, Alexandria), the PXRD pattern of Ba3CeCu2S6 was computed for CuKα.

Structural model:
Cell lengths 7.3805, 7.3805, 7.9927 Å; angles 90.00, 90.00, 120.00 degrees
Positions (direct):
Ba  0.0000  0.0000  0.0000
Ba  0.3333  0.6667  0.6239
Ba  0.6667  0.3333  0.3761
Ce  0.0000  0.0000  0.5000
Cu  0.3333  0.6667  0.2269
Cu  0.6667  0.3333  0.7731
S  0.1664  0.3328  0.2930
S  0.1664  0.8336  0.2930
S  0.3328  0.1664  0.7070
S  0.6672  0.8336  0.2930
S  0.8336  0.1664  0.7070
S  0.8336  0.6672  0.7070

Main lines, in order of falling intensity (15 to 90 degrees two-theta):
2θ/deg, Rel. int.
24.12, 100
26.30, 65
35.98, 58
43.79, 33
49.39, 29
42.43, 23
36.54, 19
30.12, 17
56.82, 15
51.03, 14

[2]
Starting from a DFT-relaxed cell (PBE, Alexandria), the PXRD pattern of La5Pm2 was computed for CuKα.

Structural model:
Cell lengths 9.1328, 9.1328, 9.1328 Å; angles 37.52, 37.52, 37.52 degrees
Positions (direct):
La  0.0000  0.0000  0.0000
La  0.2982  0.2982  0.2982
La  0.4317  0.4317  0.4317
La  0.5683  0.5683  0.5683
La  0.7018  0.7018  0.7018
Pm  0.1587  0.1587  0.1587
Pm  0.8413  0.8413  0.8413

Main lines, in order of falling intensity (15 to 90 degrees two-theta):
2θ/deg, Rel. int.
30.43, 100
30.22, 80
53.95, 31
43.42, 30
54.08, 22
63.32, 22
87.96, 14
71.76, 13
33.23, 11
87.85, 8